Diffraction record for Tb5Pr5Dy. The powder XRD pattern is simulated, not measured: it uses the GGA-PBE geometry in Alexandria and a wavelength of 1.5418 Å.

Largest 8 diffraction maxima, sorted by position, 2θ from 10° to 80°:
| 2theta | I_rel | (hkl) |
| --- | --- | --- |
| 27.1 | 21 | 4 0 -2 |
| 29.2 | 18 | 5 1 0 |
| 29.5 | 58 | 0 2 0 |
| 29.7 | 18 | 3 1 -2 |
| 30.2 | 33 | 6 0 0 |
| 33.0 | 100 | 1 1 2 |
| 42.7 | 25 | 6 2 0 |
| 54.5 | 24 | 1 3 2 |

Atomic structure:
```
data_Tb5Pr5Dy
_cell_length_a 19.093
_cell_length_b 6.063
_cell_length_c 7.080
_cell_angle_alpha 90.00
_cell_angle_beta 111.65
_cell_angle_gamma 90.00
_space_group_name_H-M_alt 'C 1 2/m 1'
_space_group_IT_number 12
_space_group_name_Hall '-C 2y'
loop_
_atom_site_label
_atom_site_type_symbol
_atom_site_fract_x
_atom_site_fract_y
_atom_site_fract_z
Tb1 Tb 0.000 0.000 0.000
Tb2 Tb 0.123 0.500 0.124
Tb3 Tb 0.169 0.500 0.670
Pr1 Pr 0.000 0.500 0.500
Pr2 Pr 0.175 0.000 0.431
Pr3 Pr 0.175 0.000 0.920
Dy1 Dy 0.000 0.000 0.500
```



Diffraction record for Tb4Pr2Dy5. The powder XRD pattern is simulated, not measured: it uses the GGA-PBE geometry in Alexandria and a wavelength of 1.5418 Å.

Largest 8 diffraction maxima, sorted by position, 2θ from 10° to 80°:
| 2theta | I_rel | (hkl) |
| --- | --- | --- |
| 28.3 | 34 | 1 1 2 |
| 30.3 | 44 | 0 2 6 |
| 30.7 | 38 | 0 0 8 |
| 31.7 | 66 | 0 3 3 |
| 32.5 | 100 | 1 2 1 |
| 35.9 | 32 | 1 1 6 |
| 37.2 | 45 | 1 0 7 |
| 42.4 | 35 | 1 3 4 |

Atomic structure:
```
data_Tb4Pr2Dy5
_cell_length_a 3.507
_cell_length_b 9.089
_cell_length_c 23.311
_cell_angle_alpha 90.00
_cell_angle_beta 90.00
_cell_angle_gamma 90.00
_space_group_name_H-M_alt 'I m m m'
_space_group_IT_number 71
_space_group_name_Hall '-I 2 2'
loop_
_atom_site_label
_atom_site_type_symbol
_atom_site_fract_x
_atom_site_fract_y
_atom_site_fract_z
Tb1 Tb 0.000 0.000 0.097
Tb2 Tb 0.000 0.308 0.500
Pr1 Pr 0.000 0.000 0.232
Dy1 Dy 0.000 0.194 0.359
Dy2 Dy 0.000 0.500 0.000
```



Diffraction record for Tb7Pr2Dy. The powder XRD pattern is simulated, not measured: it uses the GGA-PBE geometry in Alexandria and a wavelength of 1.5418 Å.

Largest 6 diffraction maxima, sorted by position, 2θ from 10° to 80°:
| 2theta | I_rel | (hkl) |
| --- | --- | --- |
| 30.5 | 100 | 1 0 2 |
| 35.4 | 51 | 2 1 -1 |
| 50.9 | 36 | 1 2 2 |
| 60.5 | 43 | 3 1 1 |
| 63.5 | 12 | 2 0 4 |
| 74.8 | 6 | 4 2 -2 |

Atomic structure:
```
data_Tb7Pr2Dy
_cell_length_a 6.214
_cell_length_b 6.215
_cell_length_c 9.493
_cell_angle_alpha 102.63
_cell_angle_beta 109.06
_cell_angle_gamma 99.54
_space_group_name_H-M_alt 'P -1'
_space_group_IT_number 2
_space_group_name_Hall '-P 1'
loop_
_atom_site_label
_atom_site_type_symbol
_atom_site_fract_x
_atom_site_fract_y
_atom_site_fract_z
Tb1 Tb 0.000 0.000 0.000
Tb2 Tb 0.198 0.498 0.899
Tb3 Tb 0.200 0.000 0.401
Tb4 Tb 0.399 0.500 0.301
Pr1 Pr 0.399 0.999 0.799
Dy1 Dy 0.000 0.500 0.500
```



- Number 1 is which compound?
  Tb5Pr5Dy